Computed powder X-ray diffraction pattern
Compound: YB4Rh7
Radiation: Cu Kα (weighted mean of Kα1 and Kα2)
Structure: DFT lattice parameters and positions (GGA-PBE)
No peak broadening, texture or thermal motion is included.

Structure:
```
YB4Rh7
1.0
2.899 0.000 0.000
0.000 5.559 0.000
0.000 0.000 9.606
Y B Rh
1 4 7
direct
0.000 0.000 0.000 Y
0.000 0.000 0.331 B
0.000 0.000 0.669 B
0.000 0.500 0.165 B
0.000 0.500 0.835 B
0.000 0.500 0.500 Rh
0.500 0.000 0.500 Rh
0.500 0.255 0.256 Rh
0.500 0.255 0.744 Rh
0.500 0.500 0.000 Rh
0.500 0.745 0.256 Rh
0.500 0.745 0.744 Rh
```

Largest 12 diffraction maxima, most intense first, 10° ≤ 2θ ≤ 90°:
2θ = 37.40°, d = 2.404 Å, I 1000; 2θ = 36.18°, d = 2.483 Å, I 509; 2θ = 45.22°, d = 2.005 Å, I 335; 2θ = 76.77°, d = 1.242 Å, I 237; 2θ = 60.08°, d = 1.540 Å, I 227; 2θ = 49.21°, d = 1.852 Å, I 185; 2θ = 30.84°, d = 2.899 Å, I 140; 2θ = 67.51°, d = 1.387 Å, I 126; 2θ = 49.27°, d = 1.850 Å, I 91; 2θ = 64.25°, d = 1.450 Å, I 74; 2θ = 79.71°, d = 1.203 Å, I 70; 2θ = 78.98°, d = 1.212 Å, I 69

Computed powder X-ray diffraction pattern
Compound: Zn15B6Rh17
Radiation: Cu Kα (weighted mean of Kα1 and Kα2)
Structure: DFT lattice parameters and positions (GGA-PBE)
No peak broadening, texture or thermal motion is included.

Structure:
```
Zn15B6Rh17
1.0
2.881 0.000 0.000
0.000 11.213 0.000
0.000 0.000 15.034
Zn B Rh
15 6 17
direct
0.000 0.000 0.000 Zn
0.000 0.116 0.342 Zn
0.000 0.132 0.587 Zn
0.000 0.205 0.748 Zn
0.000 0.298 0.952 Zn
0.000 0.375 0.119 Zn
0.000 0.384 0.351 Zn
0.000 0.500 0.701 Zn
0.000 0.616 0.351 Zn
0.000 0.625 0.119 Zn
0.000 0.702 0.952 Zn
0.000 0.795 0.748 Zn
0.000 0.868 0.587 Zn
0.000 0.884 0.342 Zn
0.500 0.000 0.470 Zn
0.000 0.000 0.819 B
0.000 0.142 0.169 B
0.000 0.357 0.527 B
0.000 0.500 0.880 B
0.000 0.643 0.527 B
0.000 0.858 0.169 B
0.500 0.000 0.212 Rh
0.500 0.000 0.706 Rh
0.500 0.122 0.878 Rh
0.500 0.174 0.066 Rh
0.500 0.242 0.457 Rh
0.500 0.249 0.240 Rh
0.500 0.329 0.631 Rh
0.500 0.378 0.821 Rh
0.500 0.500 0.232 Rh
0.500 0.500 0.485 Rh
0.500 0.500 0.992 Rh
0.500 0.622 0.821 Rh
0.500 0.671 0.631 Rh
0.500 0.751 0.240 Rh
0.500 0.758 0.457 Rh
0.500 0.826 0.066 Rh
0.500 0.878 0.878 Rh
```

Largest 12 diffraction maxima, most intense first, 10° ≤ 2θ ≤ 90°:
2θ = 40.13°, d = 2.247 Å, I 1000; 2θ = 43.50°, d = 2.080 Å, I 775; 2θ = 45.55°, d = 1.991 Å, I 626; 2θ = 39.96°, d = 2.256 Å, I 458; 2θ = 41.35°, d = 2.183 Å, I 307; 2θ = 78.94°, d = 1.213 Å, I 258; 2θ = 39.39°, d = 2.287 Å, I 243; 2θ = 64.71°, d = 1.440 Å, I 231; 2θ = 44.23°, d = 2.048 Å, I 207; 2θ = 44.29°, d = 2.045 Å, I 197; 2θ = 35.96°, d = 2.498 Å, I 196; 2θ = 73.51°, d = 1.288 Å, I 167

Computed powder X-ray diffraction pattern
Compound: Zn5B3Rh7
Radiation: Cu Kα (weighted mean of Kα1 and Kα2)
Structure: DFT lattice parameters and positions (GGA-PBE)
No peak broadening, texture or thermal motion is included.

Structure:
```
Zn5B3Rh7
1.0
11.130 0.000 0.000
0.000 2.862 0.000
0.000 0.000 11.795
Zn B Rh
10 6 14
direct
0.048 0.000 0.134 Zn
0.130 0.000 0.347 Zn
0.250 0.000 0.812 Zn
0.370 0.000 0.347 Zn
0.452 0.000 0.134 Zn
0.548 0.000 0.866 Zn
0.630 0.000 0.653 Zn
0.750 0.000 0.188 Zn
0.870 0.000 0.653 Zn
0.952 0.000 0.866 Zn
0.118 0.000 0.594 B
0.250 0.000 0.038 B
0.382 0.000 0.594 B
0.618 0.000 0.406 B
0.750 0.000 0.962 B
0.882 0.000 0.406 B
0.000 0.500 0.500 Rh
0.078 0.500 0.720 Rh
0.126 0.500 0.964 Rh
0.250 0.500 0.183 Rh
0.250 0.500 0.525 Rh
0.374 0.500 0.964 Rh
0.422 0.500 0.720 Rh
0.500 0.500 0.500 Rh
0.578 0.500 0.280 Rh
0.626 0.500 0.036 Rh
0.750 0.500 0.475 Rh
0.750 0.500 0.817 Rh
0.874 0.500 0.036 Rh
0.922 0.500 0.280 Rh
```

Largest 12 diffraction maxima, most intense first, 10° ≤ 2θ ≤ 90°:
2θ = 39.68°, d = 2.271 Å, I 1000; 2θ = 40.54°, d = 2.225 Å, I 961; 2θ = 46.15°, d = 1.967 Å, I 745; 2θ = 44.09°, d = 2.054 Å, I 670; 2θ = 39.03°, d = 2.308 Å, I 351; 2θ = 44.88°, d = 2.020 Å, I 349; 2θ = 72.09°, d = 1.310 Å, I 275; 2θ = 79.10°, d = 1.211 Å, I 253; 2θ = 43.45°, d = 2.083 Å, I 246; 2θ = 65.19°, d = 1.431 Å, I 245; 2θ = 31.25°, d = 2.862 Å, I 219; 2θ = 33.20°, d = 2.698 Å, I 183

Computed powder X-ray diffraction pattern
Compound: ZrBRh3
Radiation: Cu Kα (weighted mean of Kα1 and Kα2)
Structure: DFT lattice parameters and positions (GGA-PBE)
No peak broadening, texture or thermal motion is included.

Structure:
```
ZrBRh3
1.0
3.959 0.000 0.000
-0.027 4.022 0.000
-0.961 -1.029 8.908
Zr B Rh
2 2 6
direct
0.042 0.285 0.141 Zr
0.958 0.715 0.859 Zr
0.378 0.146 0.554 B
0.622 0.854 0.446 B
0.085 0.849 0.354 Rh
0.415 0.654 0.643 Rh
0.463 0.220 0.882 Rh
0.537 0.780 0.118 Rh
0.585 0.346 0.357 Rh
0.915 0.151 0.646 Rh
```

Largest 12 diffraction maxima, most intense first, 10° ≤ 2θ ≤ 90°:
2θ = 37.71°, d = 2.385 Å, I 1000; 2θ = 40.88°, d = 2.207 Å, I 999; 2θ = 37.59°, d = 2.393 Å, I 971; 2θ = 35.32°, d = 2.541 Å, I 741; 2θ = 40.51°, d = 2.227 Å, I 717; 2θ = 45.39°, d = 1.998 Å, I 561; 2θ = 46.14°, d = 1.967 Å, I 530; 2θ = 78.48°, d = 1.219 Å, I 220; 2θ = 79.57°, d = 1.205 Å, I 213; 2θ = 32.23°, d = 2.777 Å, I 208; 2θ = 66.00°, d = 1.415 Å, I 199; 2θ = 66.51°, d = 1.406 Å, I 197

Computed powder X-ray diffraction pattern
Compound: Zr3BRh
Radiation: Cu Kα (weighted mean of Kα1 and Kα2)
Structure: DFT lattice parameters and positions (GGA-PBE)
No peak broadening, texture or thermal motion is included.

Structure:
```
Zr3BRh
1.0
4.565 0.000 0.000
0.000 4.565 0.000
0.000 0.000 4.565
Zr B Rh
3 1 1
direct
0.000 0.000 0.500 Zr
0.000 0.500 0.000 Zr
0.500 0.000 0.000 Zr
0.000 0.000 0.000 B
0.500 0.500 0.500 Rh
```

Largest 7 diffraction maxima, most intense first, 10° ≤ 2θ ≤ 90°:
2θ = 34.02°, d = 2.635 Å, I 1000; 2θ = 39.48°, d = 2.282 Å, I 535; 2θ = 68.13°, d = 1.376 Å, I 380; 2θ = 57.07°, d = 1.614 Å, I 353; 2θ = 71.61°, d = 1.318 Å, I 117; 2θ = 85.00°, d = 1.141 Å, I 55; 2θ = 27.64°, d = 3.228 Å, I 8

Computed powder X-ray diffraction pattern
Compound: BRuS
Radiation: Cu Kα (weighted mean of Kα1 and Kα2)
Structure: DFT lattice parameters and positions (GGA-PBE)
No peak broadening, texture or thermal motion is included.

Structure:
```
BRuS
1.0
2.873 0.000 0.000
0.000 3.150 0.000
-1.215 0.000 9.778
B Ru S
2 2 2
direct
0.019 0.250 0.046 B
0.981 0.750 0.954 B
0.446 0.250 0.872 Ru
0.554 0.750 0.128 Ru
0.370 0.750 0.692 S
0.630 0.250 0.308 S
```

Largest 12 diffraction maxima, most intense first, 10° ≤ 2θ ≤ 90°:
2θ = 33.85°, d = 2.648 Å, I 1000; 2θ = 31.37°, d = 2.851 Å, I 528; 2θ = 48.45°, d = 1.879 Å, I 426; 2θ = 31.58°, d = 2.833 Å, I 404; 2θ = 49.18°, d = 1.853 Å, I 369; 2θ = 44.69°, d = 2.028 Å, I 299; 2θ = 45.15°, d = 2.008 Å, I 295; 2θ = 39.80°, d = 2.265 Å, I 266; 2θ = 36.77°, d = 2.445 Å, I 251; 2θ = 29.80°, d = 2.998 Å, I 157; 2θ = 58.61°, d = 1.575 Å, I 135; 2θ = 52.20°, d = 1.752 Å, I 133

Computed powder X-ray diffraction pattern
Compound: SiB2Ru2
Radiation: Cu Kα (weighted mean of Kα1 and Kα2)
Structure: DFT lattice parameters and positions (GGA-PBE)
No peak broadening, texture or thermal motion is included.

Structure:
```
SiB2Ru2
1.0
-1.457 1.457 6.202
1.457 -1.457 6.202
1.457 1.457 -6.202
Si B Ru
1 2 2
direct
0.000 0.000 0.000 Si
0.250 0.750 0.500 B
0.750 0.250 0.500 B
0.383 0.383 0.000 Ru
0.617 0.617 0.000 Ru
```

Largest 12 diffraction maxima, most intense first, 10° ≤ 2θ ≤ 90°:
2θ = 31.54°, d = 2.836 Å, I 1000; 2θ = 37.77°, d = 2.382 Å, I 899; 2θ = 48.18°, d = 1.889 Å, I 822; 2θ = 43.95°, d = 2.060 Å, I 618; 2θ = 53.39°, d = 1.716 Å, I 502; 2θ = 28.79°, d = 3.101 Å, I 501; 2θ = 83.88°, d = 1.153 Å, I 322; 2θ = 63.91°, d = 1.457 Å, I 251; 2θ = 76.69°, d = 1.243 Å, I 217; 2θ = 76.97°, d = 1.239 Å, I 199; 2θ = 73.02°, d = 1.296 Å, I 169; 2θ = 71.57°, d = 1.318 Å, I 149

Computed powder X-ray diffraction pattern
Compound: Ta2SiB2Ru5
Radiation: Cu Kα (weighted mean of Kα1 and Kα2)
Structure: DFT lattice parameters and positions (GGA-PBE)
No peak broadening, texture or thermal motion is included.

Structure:
```
Ta2SiB2Ru5
1.0
9.278 0.000 0.000
0.000 9.278 0.000
0.000 0.000 2.961
Ta Si B Ru
4 2 4 10
direct
0.177 0.323 0.000 Ta
0.323 0.823 0.000 Ta
0.677 0.177 0.000 Ta
0.823 0.677 0.000 Ta
0.000 0.000 0.000 Si
0.500 0.500 0.000 Si
0.125 0.625 0.000 B
0.375 0.125 0.000 B
0.625 0.875 0.000 B
0.875 0.375 0.000 B
0.000 0.500 0.500 Ru
0.067 0.789 0.500 Ru
0.211 0.067 0.500 Ru
0.289 0.567 0.500 Ru
0.433 0.289 0.500 Ru
0.500 0.000 0.500 Ru
0.567 0.711 0.500 Ru
0.711 0.433 0.500 Ru
0.789 0.933 0.500 Ru
0.933 0.211 0.500 Ru
```

Largest 12 diffraction maxima, most intense first, 10° ≤ 2θ ≤ 90°:
2θ = 40.07°, d = 2.250 Å, I 1000; 2θ = 37.31°, d = 2.410 Å, I 914; 2θ = 43.42°, d = 2.084 Å, I 784; 2θ = 41.28°, d = 2.187 Å, I 357; 2θ = 77.12°, d = 1.237 Å, I 291; 2θ = 46.77°, d = 1.942 Å, I 281; 2θ = 41.07°, d = 2.198 Å, I 246; 2θ = 21.41°, d = 4.149 Å, I 244; 2θ = 35.99°, d = 2.496 Å, I 243; 2θ = 72.64°, d = 1.302 Å, I 203; 2θ = 43.63°, d = 2.075 Å, I 193; 2θ = 71.81°, d = 1.315 Å, I 180

Computed powder X-ray diffraction pattern
Compound: SmB4Ru
Radiation: Cu Kα (weighted mean of Kα1 and Kα2)
Structure: DFT lattice parameters and positions (GGA-PBE)
No peak broadening, texture or thermal motion is included.

Structure:
```
SmB4Ru
1.0
6.023 0.000 0.000
0.000 11.653 0.000
0.000 0.000 3.610
Sm B Ru
4 16 4
direct
0.127 0.150 0.000 Sm
0.373 0.650 0.000 Sm
0.627 0.350 0.000 Sm
0.873 0.850 0.000 Sm
0.025 0.690 0.500 B
0.111 0.546 0.500 B
0.138 0.969 0.500 B
0.215 0.815 0.500 B
0.285 0.315 0.500 B
0.362 0.469 0.500 B
0.389 0.046 0.500 B
0.475 0.190 0.500 B
0.525 0.810 0.500 B
0.611 0.954 0.500 B
0.638 0.531 0.500 B
0.715 0.685 0.500 B
0.785 0.185 0.500 B
0.862 0.031 0.500 B
0.889 0.454 0.500 B
0.975 0.310 0.500 B
0.139 0.408 0.000 Ru
0.361 0.908 0.000 Ru
0.639 0.092 0.000 Ru
0.861 0.592 0.000 Ru
```

Largest 12 diffraction maxima, most intense first, 10° ≤ 2θ ≤ 90°:
2θ = 39.75°, d = 2.268 Å, I 1000; 2θ = 30.67°, d = 2.915 Å, I 826; 2θ = 24.66°, d = 3.610 Å, I 760; 2θ = 45.66°, d = 1.987 Å, I 292; 2θ = 42.61°, d = 2.122 Å, I 249; 2θ = 60.31°, d = 1.535 Å, I 245; 2θ = 37.80°, d = 2.380 Å, I 203; 2θ = 37.13°, d = 2.421 Å, I 198; 2θ = 34.19°, d = 2.623 Å, I 184; 2θ = 50.57°, d = 1.805 Å, I 180; 2θ = 27.32°, d = 3.264 Å, I 168; 2θ = 67.39°, d = 1.390 Å, I 128